# SrCe2O4
Simulated powder diffractogram, Cu Kα, 1.54184 Å. Input: the PBE geometry in the Materials Project.
Peak positions follow from Bragg's law for the DFT cell and can differ from measured ones.

Structural model:
a = 10.219 Å, b = 3.581 Å, c = 12.309 Å
α = 90.00°, β = 90.00°, γ = 90.00°
Fractional coordinates of all 28 atoms:
Sr 0.249 0.250 0.146
Sr 0.251 0.750 0.646
Sr 0.749 0.250 0.354
Sr 0.751 0.750 0.854
Ce 0.074 0.750 0.385
Ce 0.091 0.750 0.892
Ce 0.409 0.250 0.392
Ce 0.426 0.250 0.885
Ce 0.574 0.750 0.115
Ce 0.591 0.750 0.608
Ce 0.909 0.250 0.108
Ce 0.926 0.250 0.615
O 0.001 0.250 0.286
O 0.067 0.750 0.083
O 0.135 0.250 0.514
O 0.221 0.250 0.807
O 0.279 0.750 0.307
O 0.365 0.750 0.014
O 0.433 0.250 0.583
O 0.499 0.750 0.786
O 0.501 0.250 0.214
O 0.567 0.750 0.417
O 0.635 0.250 0.986
O 0.721 0.250 0.693
O 0.779 0.750 0.193
O 0.865 0.750 0.486
O 0.933 0.250 0.917
O 0.999 0.750 0.714

Most intense lines, 2θ = 10–80°, sorted by position:
| Position (°2θ) | I_rel |
| --- | --- |
| 29.0 | 50.0 |
| 30.0 | 100.0 |
| 30.2 | 84.8 |
| 30.5 | 45.2 |
| 42.6 | 41.6 |
| 43.5 | 24.0 |
| 52.0 | 23.4 |
| 53.2 | 19.1 |
| 53.8 | 29.8 |
| 60.3 | 28.2 |

---

# Tb3Ni2
Simulated powder diffractogram, Cu Kα, 1.54184 Å. Input: the PBE geometry in the Materials Project.
Peak positions follow from Bragg's law for the DFT cell and can differ from measured ones.

Structural model:
a = 6.843 Å, b = 6.843 Å, c = 9.499 Å
α = 105.23°, β = 105.23°, γ = 31.06°
Fractional coordinates of all 10 atoms:
Tb 0.097 0.097 0.173
Tb 0.356 0.356 0.132
Tb 0.369 0.369 0.502
Tb 0.631 0.631 0.498
Tb 0.644 0.644 0.868
Tb 0.903 0.903 0.827
Ni 0.035 0.035 0.644
Ni 0.244 0.244 0.727
Ni 0.756 0.756 0.273
Ni 0.965 0.965 0.356

Most intense lines, 2θ = 10–80°, sorted by position:
| Position (°2θ) | I_rel |
| --- | --- |
| 26.4 | 22.0 |
| 28.1 | 37.7 |
| 29.3 | 44.3 |
| 32.3 | 47.0 |
| 33.3 | 92.1 |
| 34.8 | 100.0 |
| 35.5 | 36.6 |
| 42.2 | 36.0 |
| 49.8 | 30.1 |
| 58.6 | 22.4 |

---

# V3S4
Simulated powder diffractogram, Cu Kα, 1.54184 Å. Input: the PBE geometry in the Materials Project.
Peak positions follow from Bragg's law for the DFT cell and can differ from measured ones.

Structural model:
a = 9.085 Å, b = 9.085 Å, c = 3.256 Å
α = 90.00°, β = 90.00°, γ = 120.00°
Fractional coordinates of all 14 atoms:
V 0.119 0.630 0.250
V 0.370 0.489 0.250
V 0.489 0.119 0.750
V 0.511 0.881 0.250
V 0.630 0.511 0.750
V 0.881 0.370 0.750
S 0.051 0.347 0.250
S 0.295 0.949 0.250
S 0.333 0.667 0.750
S 0.347 0.295 0.750
S 0.653 0.705 0.250
S 0.667 0.333 0.250
S 0.705 0.051 0.750
S 0.949 0.653 0.750

Most intense lines, 2θ = 10–80°, sorted by position:
| Position (°2θ) | I_rel |
| --- | --- |
| 11.2 | 100.0 |
| 29.7 | 14.1 |
| 30.0 | 8.1 |
| 35.8 | 13.3 |
| 41.1 | 53.9 |
| 41.4 | 24.7 |
| 48.9 | 27.3 |
| 53.4 | 8.5 |
| 56.5 | 8.9 |
| 58.5 | 9.5 |

---

# SiAg5O4
Simulated powder diffractogram, Cu Kα, 1.54184 Å. Input: the PBE geometry in the Materials Project.
Peak positions follow from Bragg's law for the DFT cell and can differ from measured ones.

Structural model:
a = 9.231 Å, b = 10.047 Å, c = 6.396 Å
α = 90.00°, β = 90.00°, γ = 90.00°
Fractional coordinates of all 40 atoms:
Si 0.239 0.117 0.000
Si 0.261 0.617 0.500
Si 0.739 0.383 0.500
Si 0.761 0.883 0.000
Ag 0.066 0.377 0.221
Ag 0.066 0.377 0.779
Ag 0.108 0.877 0.255
Ag 0.108 0.877 0.745
Ag 0.202 0.596 0.000
Ag 0.298 0.096 0.500
Ag 0.392 0.377 0.245
Ag 0.392 0.377 0.755
Ag 0.434 0.877 0.279
Ag 0.434 0.877 0.721
Ag 0.566 0.123 0.279
Ag 0.566 0.123 0.721
Ag 0.608 0.623 0.245
Ag 0.608 0.623 0.755
Ag 0.702 0.904 0.500
Ag 0.798 0.404 0.000
Ag 0.892 0.123 0.255
Ag 0.892 0.123 0.745
Ag 0.934 0.623 0.221
Ag 0.934 0.623 0.779
O 0.106 0.702 0.500
O 0.147 0.151 0.217
O 0.147 0.151 0.783
O 0.229 0.453 0.500
O 0.271 0.953 0.000
O 0.353 0.651 0.283
O 0.353 0.651 0.717
O 0.394 0.202 0.000
O 0.606 0.798 0.000
O 0.647 0.349 0.283
O 0.647 0.349 0.717
O 0.729 0.047 0.000
O 0.771 0.547 0.500
O 0.853 0.849 0.217
O 0.853 0.849 0.783
O 0.894 0.298 0.500

Most intense lines, 2θ = 10–80°, sorted by position:
| Position (°2θ) | I_rel |
| --- | --- |
| 27.9 | 22.0 |
| 34.2 | 100.0 |
| 34.6 | 63.2 |
| 35.7 | 44.5 |
| 41.7 | 15.3 |
| 44.7 | 27.8 |
| 45.9 | 16.3 |
| 50.2 | 17.6 |
| 63.2 | 11.4 |
| 68.7 | 13.7 |

---

# BaC2
Simulated powder diffractogram, Cu Kα, 1.54184 Å. Input: the PBE geometry in the Materials Project.
Peak positions follow from Bragg's law for the DFT cell and can differ from measured ones.

Structural model:
a = 7.760 Å, b = 5.559 Å, c = 9.785 Å
α = 90.00°, β = 90.00°, γ = 90.00°
Fractional coordinates of all 24 atoms:
Ba 0.004 0.250 0.180
Ba 0.145 0.750 0.402
Ba 0.355 0.250 0.902
Ba 0.496 0.750 0.680
Ba 0.504 0.250 0.320
Ba 0.645 0.750 0.098
Ba 0.855 0.250 0.598
Ba 0.996 0.750 0.820
C 0.127 0.750 0.091
C 0.208 0.109 0.636
C 0.208 0.391 0.636
C 0.210 0.250 0.497
C 0.290 0.750 0.997
C 0.292 0.609 0.136
C 0.292 0.891 0.136
C 0.373 0.250 0.591
C 0.627 0.750 0.409
C 0.708 0.109 0.864
C 0.708 0.391 0.864
C 0.710 0.250 0.003
C 0.790 0.750 0.503
C 0.792 0.609 0.364
C 0.792 0.891 0.364
C 0.873 0.250 0.909

Most intense lines, 2θ = 10–80°, sorted by position:
| Position (°2θ) | I_rel |
| --- | --- |
| 21.7 | 18.1 |
| 26.9 | 100.0 |
| 28.0 | 21.1 |
| 29.5 | 56.5 |
| 31.8 | 33.8 |
| 32.2 | 40.9 |
| 35.9 | 33.2 |
| 49.0 | 25.6 |
| 50.7 | 23.7 |
| 54.2 | 31.5 |

---

# Mg7B
Simulated powder diffractogram, Cu Kα, 1.54184 Å. Input: the PBE geometry in the Materials Project.
Peak positions follow from Bragg's law for the DFT cell and can differ from measured ones.

Structural model:
a = 6.167 Å, b = 6.167 Å, c = 4.884 Å
α = 90.00°, β = 90.00°, γ = 120.00°
Fractional coordinates of all 8 atoms:
Mg 0.000 0.000 0.000
Mg 0.014 0.507 0.000
Mg 0.332 0.166 0.500
Mg 0.493 0.507 0.000
Mg 0.493 0.986 0.000
Mg 0.834 0.166 0.500
Mg 0.834 0.668 0.500
B 0.333 0.667 0.500

Most intense lines, 2θ = 10–80°, sorted by position:
| Position (°2θ) | I_rel |
| --- | --- |
| 24.7 | 5.3 |
| 33.6 | 25.1 |
| 36.8 | 25.3 |
| 38.4 | 100.0 |
| 50.7 | 14.8 |
| 60.0 | 16.6 |
| 67.4 | 17.4 |
| 70.5 | 2.5 |
| 72.5 | 18.1 |
| 73.5 | 13.0 |

---

# La2RuO5
Simulated powder diffractogram, Cu Kα, 1.54184 Å. Input: the PBE geometry in the Materials Project.
Peak positions follow from Bragg's law for the DFT cell and can differ from measured ones.

Structural model:
a = 9.307 Å, b = 5.915 Å, c = 7.934 Å
α = 90.00°, β = 100.42°, γ = 90.00°
Fractional coordinates of all 32 atoms:
La 0.055 0.238 0.379
La 0.055 0.262 0.879
La 0.323 0.749 0.465
La 0.323 0.751 0.965
La 0.677 0.249 0.035
La 0.677 0.251 0.535
La 0.945 0.738 0.121
La 0.945 0.762 0.621
Ru 0.355 0.245 0.212
Ru 0.355 0.255 0.712
Ru 0.645 0.745 0.288
Ru 0.645 0.755 0.788
O 0.074 0.660 0.898
O 0.074 0.840 0.398
O 0.185 0.041 0.124
O 0.185 0.459 0.624
O 0.228 0.512 0.227
O 0.228 0.988 0.727
O 0.352 0.162 0.462
O 0.352 0.338 0.962
O 0.474 0.547 0.704
O 0.474 0.953 0.204
O 0.526 0.047 0.796
O 0.526 0.453 0.296
O 0.648 0.662 0.038
O 0.648 0.838 0.538
O 0.772 0.012 0.273
O 0.772 0.488 0.773
O 0.815 0.541 0.376
O 0.815 0.959 0.876
O 0.926 0.160 0.602
O 0.926 0.340 0.102

Most intense lines, 2θ = 10–80°, sorted by position:
| Position (°2θ) | I_rel |
| --- | --- |
| 29.3 | 39.0 |
| 30.2 | 54.6 |
| 30.5 | 100.0 |
| 31.2 | 87.7 |
| 33.0 | 21.8 |
| 42.6 | 40.6 |
| 45.8 | 25.9 |
| 53.9 | 25.7 |
| 54.3 | 29.8 |
| 55.8 | 21.2 |

---

# Tm2CuIr
Simulated powder diffractogram, Cu Kα, 1.54184 Å. Input: the PBE geometry in the Materials Project.
Peak positions follow from Bragg's law for the DFT cell and can differ from measured ones.

Structural model:
a = 4.804 Å, b = 4.804 Å, c = 4.804 Å
α = 60.00°, β = 60.00°, γ = 60.00°
Fractional coordinates of all 4 atoms:
Tm 0.250 0.250 0.250
Tm 0.750 0.750 0.750
Cu 0.000 0.000 0.000
Ir 0.500 0.500 0.500

Most intense lines, 2θ = 10–80°, sorted by position:
| Position (°2θ) | I_rel |
| --- | --- |
| 22.7 | 9.5 |
| 26.2 | 2.1 |
| 37.4 | 100.0 |
| 44.2 | 5.2 |
| 54.0 | 17.4 |
| 59.3 | 2.3 |
| 61.0 | 0.9 |
| 67.6 | 35.5 |
| 72.3 | 1.8 |
| 79.9 | 11.1 |

---

# Pr2P2OsO
Simulated powder diffractogram, Cu Kα, 1.54184 Å. Input: the PBE geometry in the Materials Project.
Peak positions follow from Bragg's law for the DFT cell and can differ from measured ones.

Structural model:
a = 3.141 Å, b = 3.141 Å, c = 14.646 Å
α = 90.00°, β = 90.00°, γ = 90.00°
Fractional coordinates of all 6 atoms:
Pr 0.000 0.000 0.145
Pr 0.000 0.000 0.855
P 0.000 0.000 0.348
P 0.000 0.000 0.652
Os 0.000 0.000 0.500
O 0.000 0.000 0.000

Most intense lines, 2θ = 10–80°, sorted by position:
| Position (°2θ) | I_rel |
| --- | --- |
| 18.2 | 63.9 |
| 28.4 | 100.0 |
| 33.9 | 56.9 |
| 36.8 | 16.8 |
| 40.6 | 37.7 |
| 44.8 | 26.9 |
| 47.2 | 33.1 |
| 56.0 | 19.7 |
| 66.6 | 17.2 |
| 69.7 | 14.9 |

---

# EuSnO3
Simulated powder diffractogram, Cu Kα, 1.54184 Å. Input: the PBE geometry in the Materials Project.
Peak positions follow from Bragg's law for the DFT cell and can differ from measured ones.

Structural model:
a = 4.125 Å, b = 4.125 Å, c = 4.125 Å
α = 90.00°, β = 90.00°, γ = 90.00°
Fractional coordinates of all 5 atoms:
Eu 0.000 0.000 0.000
Sn 0.500 0.500 0.500
O 0.000 0.500 0.500
O 0.500 0.000 0.500
O 0.500 0.500 0.000

Most intense lines, 2θ = 10–80°, sorted by position:
| Position (°2θ) | I_rel |
| --- | --- |
| 30.7 | 100.0 |
| 37.8 | 3.7 |
| 43.9 | 29.3 |
| 54.5 | 41.3 |
| 63.8 | 18.6 |
| 72.5 | 18.4 |
| 76.6 | 0.8 |

---

# CeNiGe
Simulated powder diffractogram, Cu Kα, 1.54184 Å. Input: the PBE geometry in the Materials Project.
Peak positions follow from Bragg's law for the DFT cell and can differ from measured ones.

Structural model:
a = 4.205 Å, b = 4.205 Å, c = 7.687 Å
α = 90.00°, β = 90.00°, γ = 120.00°
Fractional coordinates of all 6 atoms:
Ce 0.000 0.000 0.000
Ce 0.000 0.000 0.500
Ni 0.333 0.667 0.250
Ni 0.667 0.333 0.750
Ge 0.333 0.667 0.750
Ge 0.667 0.333 0.250

Most intense lines, 2θ = 10–80°, sorted by position:
| Position (°2θ) | I_rel |
| --- | --- |
| 24.4 | 12.4 |
| 33.9 | 100.0 |
| 43.0 | 45.7 |
| 47.3 | 11.5 |
| 53.9 | 3.0 |
| 55.9 | 23.5 |
| 65.8 | 25.0 |
| 73.0 | 20.8 |
| 78.9 | 7.4 |
| 79.3 | 8.3 |